Ti3H2O4: theoretical powder XRD pattern (Cu Kα), based on a cell relaxed with PBE.
Lines closer than 0.1° are merged.

Cell and atoms:
```
Ti3H2O4
1.0
3.043 0.000 0.000
-1.521 2.635 0.000
0.000 0.000 20.419
Ti H O
6 4 8
Direct
0.000 0.000 0.132
0.000 0.000 0.868
0.333 0.667 0.368
0.333 0.667 0.750
0.667 0.333 0.250
0.667 0.333 0.632
0.333 0.667 0.522
0.333 0.667 0.978
0.667 0.333 0.022
0.667 0.333 0.478
0.000 0.000 0.307
0.000 0.000 0.693
0.333 0.667 0.193
0.333 0.667 0.570
0.333 0.667 0.930
0.667 0.333 0.070
0.667 0.333 0.430
0.667 0.333 0.807
```

Peak list (10 most intense, 2θ = 15–90°, by angle)
2theta, I/Imax
17.37, 23
34.31, 19
35.17, 21
36.57, 21
38.44, 17
40.75, 100
43.43, 28
46.44, 31
60.89, 38
61.06, 26

LiCu2F5: theoretical powder XRD pattern (Cu Kα), based on a cell relaxed with PBE.
Lines closer than 0.1° are merged.

Cell and atoms:
```
LiCu2F5
1.0
1.937 -5.224 0.000
1.937 5.224 0.000
0.000 0.000 9.889
Li Cu F
2 4 10
Direct
0.195 0.805 0.750
0.805 0.195 0.250
0.134 0.866 0.069
0.134 0.866 0.431
0.866 0.134 0.569
0.866 0.134 0.931
0.065 0.935 0.610
0.065 0.935 0.890
0.219 0.781 0.250
0.325 0.675 0.569
0.325 0.675 0.931
0.675 0.325 0.069
0.675 0.325 0.431
0.781 0.219 0.750
0.935 0.065 0.110
0.935 0.065 0.390
```

Peak list (10 most intense, 2θ = 15–90°, by angle)
2theta, I/Imax
17.94, 73
19.22, 42
24.51, 100
32.11, 65
34.33, 28
39.00, 26
46.91, 34
49.26, 23
57.37, 22
57.98, 22

Th7Pt3: theoretical powder XRD pattern (Cu Kα), based on a cell relaxed with PBE.
Lines closer than 0.1° are merged.

Cell and atoms:
```
Th7Pt3
1.0
10.078 0.000 0.000
-5.039 8.728 0.000
0.000 0.000 6.463
Th Pt
14 6
Direct
0.088 0.544 0.000
0.128 0.257 0.714
0.128 0.872 0.714
0.257 0.128 0.214
0.333 0.667 0.550
0.456 0.544 0.000
0.456 0.912 0.000
0.544 0.088 0.500
0.544 0.456 0.500
0.667 0.333 0.050
0.743 0.872 0.714
0.872 0.128 0.214
0.872 0.743 0.214
0.912 0.456 0.500
0.188 0.377 0.280
0.188 0.812 0.280
0.377 0.188 0.780
0.623 0.812 0.280
0.812 0.188 0.780
0.812 0.623 0.780
```

Peak list (10 most intense, 2θ = 15–90°, by angle)
2theta, I/Imax
29.47, 41
30.42, 100
30.73, 20
33.79, 68
34.54, 55
35.63, 44
52.88, 21
53.86, 22
54.45, 22
54.64, 18

LaMg2Ni: theoretical powder XRD pattern (Cu Kα), based on a cell relaxed with PBE.
Lines closer than 0.1° are merged.

Cell and atoms:
```
LaMg2Ni
1.0
2.094 -5.097 0.000
2.094 5.097 0.000
0.000 0.000 8.394
La Mg Ni
2 4 2
Direct
0.060 0.940 0.750
0.940 0.060 0.250
0.345 0.655 0.555
0.345 0.655 0.945
0.655 0.345 0.055
0.655 0.345 0.445
0.226 0.774 0.250
0.774 0.226 0.750
```

Peak list (10 most intense, 2θ = 15–90°, by angle)
2theta, I/Imax
20.38, 19
21.17, 70
22.96, 50
31.43, 100
35.67, 97
36.86, 44
43.16, 44
47.35, 37
49.39, 19
58.06, 23